[1]
# TbTm2Ga3NiSn2
Computed powder X-ray diffraction pattern, Cu Ka. Input: a PBE-relaxed structure.
Lines closer than 0.1° are merged.

Cell and atoms:
abc: 4.241 12.629 7.199
angles: 90.00 90.00 90.00
Space group Amm2 (No. 38)
One atom of each set of equivalent atoms:
Tb (0.000, 0.000, 0.000) (multiplicity 2)
Tm (0.000, 0.188, 0.432) (multiplicity 4)
Ga (0.500, 0.000, 0.396) (multiplicity 2)
Ga (0.500, 0.110, 0.729) (multiplicity 4)
Ni (0.000, 0.000, 0.614) (multiplicity 2)
Sn (0.500, 0.169, 0.120) (multiplicity 4)

Main lines, by angle (2θ = 10–80°):
- (0 3 1), 24.5 deg, I = 20
- (1 3 1), 32.4 deg, I = 100
- (1 0 2), 32.6 deg, I = 51
- (1 4 0), 35.4 deg, I = 16
- (1 2 2), 35.7 deg, I = 38
- (2 0 0), 42.6 deg, I = 32
- (0 3 3), 43.4 deg, I = 27
- (2 3 3), 62.5 deg, I = 19

[2]
# Pr3GdC2Cl2
Computed powder X-ray diffraction pattern, Cu Ka. Input: a PBE-relaxed structure.
Lines closer than 0.1° are merged.

Cell and atoms:
abc: 3.7661 3.7661 14.4016
angles: 90.00 90.00 120.00
Space group P3m1 (No. 156)
One atom of each set of equivalent atoms:
Pr (0.0000, 0.0000, 0.0000) (multiplicity 1)
Pr (0.0000, 0.0000, 0.3116) (multiplicity 1)
Pr (0.6667, 0.3333, 0.5063) (multiplicity 1)
Gd (0.6667, 0.3333, 0.8121) (multiplicity 1)
C (0.3333, 0.6667, 0.4093) (multiplicity 1)
C (0.3333, 0.6667, 0.8984) (multiplicity 1)
Cl (0.0000, 0.0000, 0.6675) (multiplicity 1)
Cl (0.6667, 0.3333, 0.1547) (multiplicity 1)

Main lines, by angle (2θ = 10–80°):
- (0 0 2), 12.3 deg, I = 15
- (1 0 0), 27.3 deg, I = 25
- (0 1 1), 28.1 deg, I = 25
- (0 1 3), 33.2 deg, I = 100
- (1 1 0), 48.3 deg, I = 25
- (0 1 7), 52.6 deg, I = 13
- (2 0 3), 59.9 deg, I = 18
- (1 1 6), 62.7 deg, I = 17